[1]
Simulated PXRD pattern
Compound: TbY2Tm4
Radiation: Cu Ka
Structure: a cell relaxed with PBE

Main lines, low angle first (2θ = 15–90°):
| 2θ (°) | intensity |
| --- | --- |
| 28.83 | 26 |
| 28.95 | 29 |
| 31.88 | 56 |
| 32.63 | 100 |
| 33.38 | 99 |
| 51.00 | 45 |
| 56.79 | 19 |
| 58.26 | 21 |
| 61.42 | 51 |
| 88.52 | 19 |

Structural model:
```
data_TbY2Tm4
_chemical_formula_sum 'Tb2 Y4 Tm8'
_space_group_name_H-M_alt 'P 1'
_space_group_IT_number 1
_cell_length_a 6.2030
_cell_length_b 3.5812
_cell_length_c 19.7551
_cell_angle_alpha 90.00
_cell_angle_beta 95.99
_cell_angle_gamma 90.00
loop_
_space_group_symop_operation_xyz
'x,y,z'
loop_
_atom_site_label
_atom_site_type_symbol
_atom_site_fract_x
_atom_site_fract_y
_atom_site_fract_z
_atom_site_occupancy
Tb1 Tb 0.0000 0.0000 0.0000 1
Tb2 Tb 0.5000 0.5000 0.0000 1
Y1 Y 0.3100 0.5000 0.4257 1
Y2 Y 0.4047 0.5000 0.7131 1
Y3 Y 0.8100 0.0000 0.4257 1
Y4 Y 0.9047 0.0000 0.7131 1
Tm1 Tm 0.0955 0.0000 0.2826 1
Tm2 Tm 0.1189 0.5000 0.8570 1
Tm3 Tm 0.1905 0.0000 0.5689 1
Tm4 Tm 0.2148 0.5000 0.1427 1
Tm5 Tm 0.5955 0.5000 0.2826 1
Tm6 Tm 0.6189 0.0000 0.8570 1
Tm7 Tm 0.6905 0.5000 0.5689 1
Tm8 Tm 0.7148 0.0000 0.1427 1
```



[2]
Simulated PXRD pattern
Compound: Tb2Y2Tm
Radiation: Cu Ka
Structure: a cell relaxed with PBE

Main lines, low angle first (2θ = 15–90°):
| 2θ (°) | intensity |
| --- | --- |
| 29.23 | 28 |
| 30.11 | 52 |
| 30.76 | 45 |
| 31.07 | 79 |
| 32.43 | 100 |
| 33.44 | 98 |
| 35.76 | 34 |
| 37.05 | 28 |
| 51.26 | 58 |
| 61.17 | 68 |

Structural model:
```
data_Tb2Y2Tm
_chemical_formula_sum 'Tb8 Y8 Tm4'
_space_group_name_H-M_alt 'P 1'
_space_group_IT_number 1
_cell_length_a 14.5382
_cell_length_b 7.1287
_cell_length_c 6.1735
_cell_angle_alpha 90.00
_cell_angle_beta 98.16
_cell_angle_gamma 90.00
loop_
_space_group_symop_operation_xyz
'x,y,z'
loop_
_atom_site_label
_atom_site_type_symbol
_atom_site_fract_x
_atom_site_fract_y
_atom_site_fract_z
_atom_site_occupancy
Tb1 Tb 0.0011 0.1250 0.2520 1
Tb2 Tb 0.0011 0.3750 0.7520 1
Tb3 Tb 0.3983 0.6248 0.3825 1
Tb4 Tb 0.3983 0.8752 0.8825 1
Tb5 Tb 0.6017 0.1248 0.1175 1
Tb6 Tb 0.6017 0.3752 0.6175 1
Tb7 Tb 0.9989 0.6250 0.2480 1
Tb8 Tb 0.9989 0.8750 0.7480 1
Y1 Y 0.1991 0.6247 0.6478 1
Y2 Y 0.1991 0.8753 0.1478 1
Y3 Y 0.3974 0.1252 0.3840 1
Y4 Y 0.3974 0.3748 0.8840 1
Y5 Y 0.6026 0.6252 0.1160 1
Y6 Y 0.6026 0.8748 0.6160 1
Y7 Y 0.8009 0.1247 0.8522 1
Y8 Y 0.8009 0.3753 0.3522 1
Tm1 Tm 0.1988 0.1255 0.6500 1
Tm2 Tm 0.1988 0.3745 0.1500 1
Tm3 Tm 0.8012 0.6255 0.8500 1
Tm4 Tm 0.8012 0.8745 0.3500 1
```



[3]
Simulated PXRD pattern
Compound: Tb2Y7Tm2
Radiation: Cu Ka
Structure: a cell relaxed with PBE

Main lines, low angle first (2θ = 15–90°):
| 2θ (°) | intensity |
| --- | --- |
| 31.16 | 29 |
| 31.71 | 66 |
| 32.18 | 36 |
| 32.42 | 42 |
| 32.74 | 100 |
| 35.84 | 23 |
| 45.50 | 13 |
| 55.08 | 16 |
| 57.96 | 15 |
| 58.68 | 21 |

Structural model:
```
data_Tb2Y7Tm2
_chemical_formula_sum 'Tb2 Y7 Tm2'
_space_group_name_H-M_alt 'P 1'
_space_group_IT_number 1
_cell_length_a 6.5122
_cell_length_b 6.5122
_cell_length_c 8.6230
_cell_angle_alpha 97.93
_cell_angle_beta 97.93
_cell_angle_gamma 92.83
loop_
_space_group_symop_operation_xyz
'x,y,z'
loop_
_atom_site_label
_atom_site_type_symbol
_atom_site_fract_x
_atom_site_fract_y
_atom_site_fract_z
_atom_site_occupancy
Tb1 Tb 0.1769 0.8231 0.0000 1
Tb2 Tb 0.8231 0.1769 0.0000 1
Y1 Y 0.0502 0.4184 0.7068 1
Y2 Y 0.3463 0.3463 0.0908 1
Y3 Y 0.4184 0.0502 0.7068 1
Y4 Y 0.5000 0.5000 0.5000 1
Y5 Y 0.5816 0.9498 0.2932 1
Y6 Y 0.6537 0.6537 0.9092 1
Y7 Y 0.9498 0.5816 0.2932 1
Tm1 Tm 0.1040 0.1040 0.3549 1
Tm2 Tm 0.8960 0.8960 0.6451 1
```



[4]
Simulated PXRD pattern
Compound: Tb6Y5Tm2
Radiation: Cu Ka
Structure: a cell relaxed with PBE

Main lines, low angle first (2θ = 15–90°):
| 2θ (°) | intensity |
| --- | --- |
| 29.42 | 39 |
| 30.72 | 24 |
| 31.47 | 57 |
| 31.62 | 90 |
| 32.13 | 28 |
| 32.28 | 100 |
| 32.58 | 29 |
| 34.17 | 24 |
| 50.95 | 24 |
| 61.21 | 29 |

Structural model:
```
data_Tb6Y5Tm2
_chemical_formula_sum 'Tb12 Y10 Tm4'
_space_group_name_H-M_alt 'P 1'
_space_group_IT_number 1
_cell_length_a 11.4138
_cell_length_b 20.4583
_cell_length_c 3.5847
_cell_angle_alpha 90.00
_cell_angle_beta 90.00
_cell_angle_gamma 90.00
loop_
_space_group_symop_operation_xyz
'x,y,z'
loop_
_atom_site_label
_atom_site_type_symbol
_atom_site_fract_x
_atom_site_fract_y
_atom_site_fract_z
_atom_site_occupancy
Tb1 Tb 0.0820 0.1519 0.0000 1
Tb2 Tb 0.1641 0.8832 0.5000 1
Tb3 Tb 0.2179 0.5546 0.5000 1
Tb4 Tb 0.2821 0.0546 0.5000 1
Tb5 Tb 0.3359 0.3832 0.5000 1
Tb6 Tb 0.4180 0.6519 0.0000 1
Tb7 Tb 0.5820 0.3481 0.0000 1
Tb8 Tb 0.6641 0.6168 0.5000 1
Tb9 Tb 0.7179 0.9454 0.5000 1
Tb10 Tb 0.7821 0.4454 0.5000 1
Tb11 Tb 0.8359 0.1168 0.5000 1
Tb12 Tb 0.9180 0.8481 0.0000 1
Y1 Y 0.0000 0.0000 0.0000 1
Y2 Y 0.0624 0.4243 0.0000 1
Y3 Y 0.1465 0.7196 0.0000 1
Y4 Y 0.3535 0.2196 0.0000 1
Y5 Y 0.4376 0.9243 0.0000 1
Y6 Y 0.5000 0.5000 0.0000 1
Y7 Y 0.5624 0.0757 0.0000 1
Y8 Y 0.6465 0.7804 0.0000 1
Y9 Y 0.8535 0.2804 0.0000 1
Y10 Y 0.9376 0.5757 0.0000 1
Tm1 Tm 0.1152 0.2861 0.5000 1
Tm2 Tm 0.3848 0.7861 0.5000 1
Tm3 Tm 0.6152 0.2139 0.5000 1
Tm4 Tm 0.8848 0.7139 0.5000 1
```



[5]
Simulated PXRD pattern
Compound: Tb5Y2Tm5
Radiation: Cu Ka
Structure: a cell relaxed with PBE

Main lines, low angle first (2θ = 15–90°):
| 2θ (°) | intensity |
| --- | --- |
| 25.96 | 26 |
| 28.32 | 56 |
| 30.52 | 100 |
| 30.67 | 65 |
| 30.90 | 40 |
| 31.48 | 46 |
| 33.05 | 36 |
| 33.36 | 84 |
| 35.10 | 76 |
| 38.83 | 31 |

Structural model:
```
data_Tb5Y2Tm5
_chemical_formula_sum 'Tb5 Y2 Tm5'
_space_group_name_H-M_alt 'P 1'
_space_group_IT_number 1
_cell_length_a 5.1126
_cell_length_b 5.9463
_cell_length_c 14.3374
_cell_angle_alpha 79.82
_cell_angle_beta 89.95
_cell_angle_gamma 64.55
loop_
_space_group_symop_operation_xyz
'x,y,z'
loop_
_atom_site_label
_atom_site_type_symbol
_atom_site_fract_x
_atom_site_fract_y
_atom_site_fract_z
_atom_site_occupancy
Tb1 Tb 0.0000 0.0000 0.0000 1
Tb2 Tb 0.2176 0.5648 0.5756 1
Tb3 Tb 0.3428 0.3143 0.8301 1
Tb4 Tb 0.6572 0.6857 0.1699 1
Tb5 Tb 0.7824 0.4352 0.4244 1
Y1 Y 0.3541 0.2920 0.2855 1
Y2 Y 0.6459 0.7080 0.7145 1
Tm1 Tm 0.0571 0.8861 0.3189 1
Tm2 Tm 0.3229 0.3539 0.0624 1
Tm3 Tm 0.5000 0.0000 0.5000 1
Tm4 Tm 0.6771 0.6461 0.9376 1
Tm5 Tm 0.9429 0.1139 0.6811 1
```



[6]
Simulated PXRD pattern
Compound: Tb3Y2Tm9
Radiation: Cu Ka
Structure: a cell relaxed with PBE

Main lines, low angle first (2θ = 15–90°):
| 2θ (°) | intensity |
| --- | --- |
| 31.54 | 88 |
| 31.68 | 100 |
| 31.80 | 36 |
| 32.17 | 51 |
| 32.41 | 76 |
| 33.43 | 65 |
| 34.28 | 40 |
| 34.80 | 60 |
| 48.93 | 27 |
| 53.32 | 26 |

Structural model:
```
data_Tb3Y2Tm9
_chemical_formula_sum 'Tb3 Y2 Tm9'
_space_group_name_H-M_alt 'P 1'
_space_group_IT_number 1
_cell_length_a 6.1553
_cell_length_b 8.6443
_cell_length_c 8.6556
_cell_angle_alpha 79.27
_cell_angle_beta 86.52
_cell_angle_gamma 77.58
loop_
_space_group_symop_operation_xyz
'x,y,z'
loop_
_atom_site_label
_atom_site_type_symbol
_atom_site_fract_x
_atom_site_fract_y
_atom_site_fract_z
_atom_site_occupancy
Tb1 Tb 0.0000 0.0000 0.0000 1
Tb2 Tb 0.2557 0.2716 0.3840 1
Tb3 Tb 0.7433 0.7275 0.6159 1
Y1 Y 0.4535 0.7027 0.9693 1
Y2 Y 0.5455 0.2964 0.0306 1
Tm1 Tm 0.0929 0.6928 0.3147 1
Tm2 Tm 0.1855 0.8955 0.6186 1
Tm3 Tm 0.3452 0.4923 0.6677 1
Tm4 Tm 0.4883 0.9160 0.2528 1
Tm5 Tm 0.5108 0.0831 0.7472 1
Tm6 Tm 0.6537 0.5068 0.3321 1
Tm7 Tm 0.8135 0.1037 0.3814 1
Tm8 Tm 0.9060 0.3064 0.6851 1
Tm9 Tm 0.9995 0.4994 0.9999 1
```